1.
# La2Tb2PmCd5
Calculated XRD peak list, Cu Kα (weighted mean of Kα1 and Kα2). Input: a crystal structure in Alexandria, relaxed with GGA-PBE.

Structure:
a b c (Å): 10.7662 10.7662 4.8618
angles (deg): 90.00 90.00 90.00
Fractional positions:
La 0.1761 0.3239 0.0000
La 0.3239 0.8239 0.0000
La 0.6761 0.1761 0.0000
La 0.8239 0.6761 0.0000
Tb 0.1227 0.6227 0.0000
Tb 0.3773 0.1227 0.0000
Tb 0.6227 0.8773 0.0000
Tb 0.8773 0.3773 0.0000
Pm 0.0000 0.0000 0.0000
Pm 0.5000 0.5000 0.0000
Cd 0.0000 0.5000 0.5000
Cd 0.0689 0.8036 0.5000
Cd 0.1964 0.0689 0.5000
Cd 0.3036 0.5689 0.5000
Cd 0.4311 0.3036 0.5000
Cd 0.5000 0.0000 0.5000
Cd 0.5689 0.6964 0.5000
Cd 0.6964 0.4311 0.5000
Cd 0.8036 0.9311 0.5000
Cd 0.9311 0.1964 0.5000

Largest 12 diffraction maxima, by angle, 15° ≤ 2θ ≤ 90°:
2θ 18.43, d = 4.815 Å, I 6.7
2θ 29.81, d = 2.997 Å, I 16.7
2θ 32.10, d = 2.789 Å, I 100.0
2θ 34.34, d = 2.611 Å, I 26.9
2θ 35.29, d = 2.543 Å, I 50.2
2θ 36.98, d = 2.431 Å, I 30.5
2θ 37.35, d = 2.407 Å, I 9.0
2θ 38.22, d = 2.355 Å, I 9.1
2θ 51.35, d = 1.779 Å, I 16.8
2θ 57.38, d = 1.606 Å, I 8.8
2θ 63.59, d = 1.463 Å, I 13.6
2θ 66.04, d = 1.415 Å, I 9.9

=====

2.
# La12Co6Au
Calculated XRD peak list, Cu Kα (weighted mean of Kα1 and Kα2). Input: a crystal structure in Alexandria, relaxed with GGA-PBE.

Structure:
a b c (Å): 8.7265 8.7265 8.7265
angles (deg): 109.47 109.47 109.47
Fractional positions:
La 0.1212 0.8111 0.3101
La 0.1889 0.3101 0.4990
La 0.1889 0.6899 0.8788
La 0.3101 0.1212 0.8111
La 0.3101 0.4990 0.1889
La 0.4990 0.1889 0.3101
La 0.5010 0.8111 0.6899
La 0.6899 0.5010 0.8111
La 0.6899 0.8788 0.1889
La 0.8111 0.3101 0.1212
La 0.8111 0.6899 0.5010
La 0.8788 0.1889 0.6899
Co 0.1221 0.6221 0.5000
Co 0.3779 0.5000 0.8779
Co 0.5000 0.1221 0.6221
Co 0.5000 0.8779 0.3779
Co 0.6221 0.5000 0.1221
Co 0.8779 0.3779 0.5000
Au 0.0000 0.0000 0.0000

Largest 12 diffraction maxima, by angle, 15° ≤ 2θ ≤ 90°:
2θ 28.00, d = 3.186 Å, I 44.1
2θ 30.74, d = 2.909 Å, I 38.7
2θ 33.27, d = 2.693 Å, I 100.0
2θ 35.64, d = 2.519 Å, I 14.5
2θ 45.92, d = 1.976 Å, I 26.7
2θ 52.99, d = 1.728 Å, I 30.2
2θ 54.65, d = 1.679 Å, I 14.3
2θ 56.28, d = 1.635 Å, I 35.4
2θ 65.50, d = 1.425 Å, I 17.9
2θ 79.60, d = 1.204 Å, I 12.3
2θ 80.96, d = 1.188 Å, I 17.3
2θ 82.32, d = 1.171 Å, I 15.9

=====

3.
# AcHg6Bi
Calculated XRD peak list, Cu Kα (weighted mean of Kα1 and Kα2). Input: a crystal structure in Alexandria, relaxed with GGA-PBE.

Structure:
a b c (Å): 5.2949 5.2949 8.0669
angles (deg): 90.00 90.00 90.00
Fractional positions:
Ac 0.0000 0.0000 0.0000
Hg 0.0000 0.5000 0.2634
Hg 0.0000 0.5000 0.7366
Hg 0.5000 0.0000 0.2634
Hg 0.5000 0.0000 0.7366
Hg 0.5000 0.5000 0.0000
Hg 0.5000 0.5000 0.5000
Bi 0.0000 0.0000 0.5000

Largest 12 diffraction maxima, by angle, 15° ≤ 2θ ≤ 90°:
2θ 32.63, d = 2.744 Å, I 100.0
2θ 33.86, d = 2.647 Å, I 46.1
2θ 44.95, d = 2.017 Å, I 10.1
2θ 48.64, d = 1.872 Å, I 17.0
2θ 57.44, d = 1.604 Å, I 19.7
2θ 59.80, d = 1.546 Å, I 36.5
2θ 68.37, d = 1.372 Å, I 11.8
2θ 71.24, d = 1.324 Å, I 5.6
2θ 75.07, d = 1.265 Å, I 8.5
2θ 80.57, d = 1.192 Å, I 8.0
2θ 81.25, d = 1.184 Å, I 8.0
2θ 88.32, d = 1.107 Å, I 6.4

=====

4.
# Sm2TlAgS4
Calculated XRD peak list, Cu Kα (weighted mean of Kα1 and Kα2). Input: a crystal structure in Alexandria, relaxed with GGA-PBE.

Structure:
a b c (Å): 7.1544 7.1544 14.4913
angles (deg): 90.00 90.00 146.59
Fractional positions:
Sm 0.1318 0.8682 0.5656
Sm 0.1318 0.8682 0.9344
Sm 0.8682 0.1318 0.0656
Sm 0.8682 0.1318 0.4344
Tl 0.3868 0.6132 0.7500
Tl 0.6132 0.3868 0.2500
Ag 0.3325 0.6675 0.2500
Ag 0.6675 0.3325 0.7500
S 0.0581 0.9419 0.7500
S 0.2358 0.7642 0.1022
S 0.2358 0.7642 0.3978
S 0.5000 0.5000 0.0000
S 0.5000 0.5000 0.5000
S 0.7642 0.2358 0.6022
S 0.7642 0.2358 0.8978
S 0.9419 0.0581 0.2500

Largest 12 diffraction maxima, by angle, 15° ≤ 2θ ≤ 90°:
2θ 22.52, d = 3.948 Å, I 74.8
2θ 24.57, d = 3.623 Å, I 22.9
2θ 25.74, d = 3.461 Å, I 70.3
2θ 26.01, d = 3.426 Å, I 42.0
2θ 29.88, d = 2.991 Å, I 60.9
2θ 31.77, d = 2.816 Å, I 100.0
2θ 33.60, d = 2.667 Å, I 32.1
2θ 37.23, d = 2.415 Å, I 30.8
2θ 38.55, d = 2.335 Å, I 35.9
2θ 43.01, d = 2.103 Å, I 29.4
2θ 43.87, d = 2.064 Å, I 53.6
2θ 44.04, d = 2.056 Å, I 29.5

=====

5.
# As
Calculated XRD peak list, Cu Kα (weighted mean of Kα1 and Kα2). Input: a crystal structure in Alexandria, relaxed with GGA-PBE.

Structure:
a b c (Å): 3.7568 5.5357 4.2481
angles (deg): 90.00 90.00 90.00
Fractional positions:
As 0.0000 0.2500 0.0533
As 0.0000 0.7500 0.9467
As 0.5000 0.2500 0.4467
As 0.5000 0.7500 0.5533

Largest 12 diffraction maxima, by angle, 15° ≤ 2θ ≤ 90°:
2θ 26.45, d = 3.370 Å, I 19.6
2θ 31.80, d = 2.814 Å, I 100.0
2θ 32.34, d = 2.768 Å, I 53.6
2θ 42.56, d = 2.124 Å, I 15.3
2θ 45.99, d = 1.973 Å, I 70.7
2θ 48.46, d = 1.878 Å, I 17.0
2θ 52.15, d = 1.754 Å, I 21.0
2θ 54.45, d = 1.685 Å, I 14.6
2θ 59.47, d = 1.554 Å, I 18.2
2θ 75.85, d = 1.254 Å, I 10.9
2θ 76.74, d = 1.242 Å, I 15.3
2θ 88.80, d = 1.102 Å, I 10.9

=====

6.
# Nd3Ag
Calculated XRD peak list, Cu Kα (weighted mean of Kα1 and Kα2). Input: a crystal structure in Alexandria, relaxed with GGA-PBE.

Structure:
a b c (Å): 3.8422 11.5010 5.5838
angles (deg): 90.00 90.00 90.00
Fractional positions:
Nd 0.0000 0.0000 0.0000
Nd 0.0000 0.2191 0.5018
Nd 0.0000 0.7809 0.5018
Nd 0.5000 0.2809 0.0018
Nd 0.5000 0.5000 0.5000
Nd 0.5000 0.7191 0.0018
Ag 0.0000 0.5000 0.9984
Ag 0.5000 0.0000 0.4984

Largest 12 diffraction maxima, by angle, 15° ≤ 2θ ≤ 90°:
2θ 28.24, d = 3.161 Å, I 9.6
2θ 31.11, d = 2.875 Å, I 21.5
2θ 32.06, d = 2.792 Å, I 27.6
2θ 32.28, d = 2.773 Å, I 100.0
2θ 45.27, d = 2.003 Å, I 15.2
2θ 47.32, d = 1.921 Å, I 9.3
2θ 56.08, d = 1.640 Å, I 13.0
2θ 57.29, d = 1.608 Å, I 19.2
2θ 57.71, d = 1.597 Å, I 7.3
2θ 58.31, d = 1.582 Å, I 10.5
2θ 67.56, d = 1.386 Å, I 9.0
2θ 78.39, d = 1.220 Å, I 8.2

=====

7.
# PmHo5Th2
Calculated XRD peak list, Cu Kα (weighted mean of Kα1 and Kα2). Input: a crystal structure in Alexandria, relaxed with GGA-PBE.

Structure:
a b c (Å): 3.5172 11.1688 13.2165
angles (deg): 90.00 90.00 90.00
Fractional positions:
Pm 0.0000 0.0000 0.0000
Pm 0.5000 0.5000 0.5000
Ho 0.0000 0.2296 0.3688
Ho 0.0000 0.2296 0.6312
Ho 0.0000 0.5000 0.0000
Ho 0.0000 0.7704 0.3688
Ho 0.0000 0.7704 0.6312
Ho 0.5000 0.0000 0.5000
Ho 0.5000 0.2704 0.1312
Ho 0.5000 0.2704 0.8688
Ho 0.5000 0.7296 0.1312
Ho 0.5000 0.7296 0.8688
Th 0.0000 0.5000 0.2606
Th 0.0000 0.5000 0.7394
Th 0.5000 0.0000 0.2394
Th 0.5000 0.0000 0.7606

Largest 12 diffraction maxima, by angle, 15° ≤ 2θ ≤ 90°:
2θ 29.87, d = 2.991 Å, I 20.7
2θ 30.80, d = 2.903 Å, I 54.6
2θ 31.46, d = 2.844 Å, I 100.0
2θ 32.06, d = 2.792 Å, I 42.9
2θ 32.58, d = 2.749 Å, I 38.9
2θ 35.10, d = 2.557 Å, I 19.2
2θ 38.23, d = 2.354 Å, I 17.1
2θ 46.35, d = 1.959 Å, I 25.3
2θ 56.16, d = 1.638 Å, I 14.1
2θ 56.76, d = 1.622 Å, I 14.2
2θ 57.83, d = 1.594 Å, I 20.8
2θ 62.05, d = 1.496 Å, I 29.3

=====

8.
# Pm11Al9Ni4
Calculated XRD peak list, Cu Kα (weighted mean of Kα1 and Kα2). Input: a crystal structure in Alexandria, relaxed with GGA-PBE.

Structure:
a b c (Å): 12.8295 12.8295 3.6821
angles (deg): 90.00 90.00 112.73
Fractional positions:
Pm 0.0000 0.0000 0.0000
Pm 0.0698 0.4136 0.0000
Pm 0.1654 0.8346 0.0000
Pm 0.3111 0.3111 0.0000
Pm 0.3745 0.6255 0.0000
Pm 0.4136 0.0698 0.0000
Pm 0.5864 0.9302 0.0000
Pm 0.6255 0.3745 0.0000
Pm 0.6889 0.6889 0.0000
Pm 0.8346 0.1654 0.0000
Pm 0.9302 0.5864 0.0000
Al 0.0846 0.2203 0.5000
Al 0.1700 0.6318 0.5000
Al 0.2203 0.0846 0.5000
Al 0.3682 0.8300 0.5000
Al 0.5000 0.5000 0.5000
Al 0.6318 0.1700 0.5000
Al 0.7797 0.9154 0.5000
Al 0.8300 0.3682 0.5000
Al 0.9154 0.7797 0.5000
Ni 0.2419 0.4463 0.5000
Ni 0.4463 0.2419 0.5000
Ni 0.5537 0.7581 0.5000
Ni 0.7581 0.5537 0.5000

Largest 12 diffraction maxima, by angle, 15° ≤ 2θ ≤ 90°:
2θ 19.19, d = 4.625 Å, I 25.0
2θ 21.72, d = 4.092 Å, I 21.9
2θ 24.17, d = 3.682 Å, I 55.1
2θ 25.04, d = 3.557 Å, I 79.5
2θ 33.29, d = 2.692 Å, I 27.1
2θ 35.05, d = 2.560 Å, I 100.0
2θ 35.10, d = 2.557 Å, I 94.6
2θ 35.70, d = 2.515 Å, I 58.1
2θ 37.40, d = 2.404 Å, I 59.7
2θ 49.51, d = 1.841 Å, I 31.5
2θ 56.29, d = 1.634 Å, I 28.8
2θ 62.52, d = 1.486 Å, I 22.4

=====

9.
# TaCo2Si
Calculated XRD peak list, Cu Kα (weighted mean of Kα1 and Kα2). Input: a crystal structure in Alexandria, relaxed with GGA-PBE.

Structure:
a b c (Å): 2.7327 2.7327 6.5905
angles (deg): 90.00 90.00 90.00
Fractional positions:
Ta 0.0000 0.0000 0.0000
Co 0.5000 0.5000 0.2953
Co 0.5000 0.5000 0.7047
Si 0.0000 0.0000 0.5000

Largest 12 diffraction maxima, by angle, 15° ≤ 2θ ≤ 90°:
2θ 27.06, d = 3.295 Å, I 9.2
2θ 35.56, d = 2.524 Å, I 60.1
2θ 41.09, d = 2.197 Å, I 17.5
2θ 43.00, d = 2.104 Å, I 100.0
2θ 47.03, d = 1.932 Å, I 43.3
2θ 49.13, d = 1.854 Å, I 9.7
2θ 64.19, d = 1.451 Å, I 18.2
2θ 68.70, d = 1.366 Å, I 13.5
2θ 75.89, d = 1.254 Å, I 12.8
2θ 79.82, d = 1.202 Å, I 11.6
2θ 80.99, d = 1.187 Å, I 11.5
2θ 84.57, d = 1.146 Å, I 27.4

=====

10.
# Ta2Co3Ru
Calculated XRD peak list, Cu Kα (weighted mean of Kα1 and Kα2). Input: a crystal structure in Alexandria, relaxed with GGA-PBE.

Structure:
a b c (Å): 7.8038 7.8038 7.8038
angles (deg): 116.31 116.31 96.52
Fractional positions:
Ta 0.2655 0.3315 0.5660
Ta 0.2655 0.6995 0.9340
Ta 0.3005 0.7345 0.5660
Ta 0.3315 0.2655 0.0660
Ta 0.6685 0.7345 0.9340
Ta 0.6995 0.2655 0.4340
Ta 0.7345 0.3005 0.0660
Ta 0.7345 0.6685 0.4340
Co 0.0000 0.5000 0.5000
Co 0.1047 0.3547 0.2094
Co 0.1047 0.8953 0.7500
Co 0.3547 0.1047 0.7094
Co 0.3547 0.6453 0.2500
Co 0.5000 0.0000 0.0000
Co 0.5000 0.5000 0.0000
Co 0.5000 0.5000 0.5000
Co 0.6453 0.3547 0.7500
Co 0.6453 0.8953 0.2906
Co 0.8953 0.1047 0.2500
Co 0.8953 0.6453 0.7906
Ru 0.0539 0.3039 0.7500
Ru 0.3039 0.0539 0.2500
Ru 0.6961 0.9461 0.7500
Ru 0.9461 0.6961 0.2500

Largest 12 diffraction maxima, by angle, 15° ≤ 2θ ≤ 90°:
2θ 27.64, d = 3.227 Å, I 96.4
2θ 34.53, d = 2.598 Å, I 21.5
2θ 40.44, d = 2.231 Å, I 100.0
2θ 41.08, d = 2.197 Å, I 24.2
2θ 42.00, d = 2.151 Å, I 49.0
2θ 43.98, d = 2.059 Å, I 49.4
2θ 44.99, d = 2.015 Å, I 29.8
2θ 46.87, d = 1.938 Å, I 61.9
2θ 47.70, d = 1.907 Å, I 32.3
2θ 62.44, d = 1.487 Å, I 21.1
2θ 73.31, d = 1.291 Å, I 27.0
2θ 78.88, d = 1.214 Å, I 15.4

=====

11.
# KCaPHO4
Calculated XRD peak list, Cu Kα (weighted mean of Kα1 and Kα2). Input: a crystal structure in Alexandria, relaxed with GGA-PBE.

Structure:
a b c (Å): 5.5863 5.5863 8.0200
angles (deg): 93.85 93.85 96.65
Fractional positions:
K 0.2340 0.7660 0.0000
K 0.7660 0.2340 0.0000
Ca 0.2175 0.7825 0.5000
Ca 0.7825 0.2175 0.5000
P 0.2326 0.2326 0.7408
P 0.7674 0.7674 0.2592
H 0.3322 0.3322 0.2949
H 0.6678 0.6678 0.7051
O 0.0220 0.0220 0.6902
O 0.1498 0.4590 0.6590
O 0.2734 0.2734 0.9317
O 0.4590 0.1498 0.6590
O 0.5410 0.8502 0.3410
O 0.7266 0.7266 0.0683
O 0.8502 0.5410 0.3410
O 0.9780 0.9780 0.3098

Largest 12 diffraction maxima, by angle, 15° ≤ 2θ ≤ 90°:
2θ 16.02, d = 5.533 Å, I 19.1
2θ 18.81, d = 4.717 Å, I 100.0
2θ 20.21, d = 4.394 Å, I 41.4
2θ 31.01, d = 2.884 Å, I 73.2
2θ 31.29, d = 2.859 Å, I 25.7
2θ 32.36, d = 2.766 Å, I 56.6
2θ 34.72, d = 2.584 Å, I 29.4
2θ 38.13, d = 2.360 Å, I 18.3
2θ 40.70, d = 2.217 Å, I 24.0
2θ 41.09, d = 2.197 Å, I 21.5
2θ 49.32, d = 1.848 Å, I 18.4
2θ 54.65, d = 1.679 Å, I 15.2

=====

12.
# Ta2Rh
Calculated XRD peak list, Cu Kα (weighted mean of Kα1 and Kα2). Input: a crystal structure in Alexandria, relaxed with GGA-PBE.

Structure:
a b c (Å): 3.5745 13.0152 4.3565
angles (deg): 90.00 90.00 90.00
Fractional positions:
Ta 0.0000 0.0799 0.2500
Ta 0.0000 0.2481 0.7500
Ta 0.0000 0.7519 0.2500
Ta 0.0000 0.9201 0.7500
Ta 0.5000 0.2519 0.2500
Ta 0.5000 0.4201 0.7500
Ta 0.5000 0.5799 0.2500
Ta 0.5000 0.7481 0.7500
Rh 0.0000 0.4228 0.2500
Rh 0.0000 0.5772 0.7500
Rh 0.5000 0.0772 0.7500
Rh 0.5000 0.9228 0.2500

Largest 12 diffraction maxima, by angle, 15° ≤ 2θ ≤ 90°:
2θ 25.85, d = 3.447 Å, I 2.7
2θ 38.63, d = 2.331 Å, I 100.0
2θ 41.45, d = 2.178 Å, I 20.6
2θ 41.64, d = 2.169 Å, I 20.0
2θ 51.11, d = 1.787 Å, I 11.3
2θ 60.21, d = 1.537 Å, I 13.5
2θ 67.83, d = 1.382 Å, I 9.7
2θ 67.96, d = 1.379 Å, I 9.4
2θ 73.73, d = 1.285 Å, I 15.1
2θ 73.98, d = 1.281 Å, I 14.4
2θ 82.83, d = 1.165 Å, I 11.0
2θ 87.88, d = 1.111 Å, I 10.1

=====

13.
# Er7In2C2
Calculated XRD peak list, Cu Kα (weighted mean of Kα1 and Kα2). Input: a crystal structure in Alexandria, relaxed with GGA-PBE.

Structure:
a b c (Å): 9.1409 9.1409 9.1409
angles (deg): 158.23 73.78 110.53
Fractional positions:
Er 0.0000 0.0000 0.0000
Er 0.2946 0.4343 0.8603
Er 0.3131 0.6206 0.6925
Er 0.5741 0.4343 0.1397
Er 0.6613 0.3174 0.3439
Er 0.9281 0.6206 0.3075
Er 0.9735 0.3174 0.6561
In 0.2583 0.7583 0.5000
In 0.6733 0.6733 0.0000
C 0.1843 0.9504 0.2340
C 0.7164 0.9504 0.7660

Largest 12 diffraction maxima, by angle, 15° ≤ 2θ ≤ 90°:
2θ 27.21, d = 3.278 Å, I 25.0
2θ 29.87, d = 2.991 Å, I 42.6
2θ 31.65, d = 2.827 Å, I 100.0
2θ 31.77, d = 2.817 Å, I 27.4
2θ 36.25, d = 2.478 Å, I 14.1
2θ 36.68, d = 2.450 Å, I 30.1
2θ 36.85, d = 2.439 Å, I 66.7
2θ 43.97, d = 2.059 Å, I 19.8
2θ 47.54, d = 1.912 Å, I 13.7
2θ 53.04, d = 1.727 Å, I 26.6
2θ 54.27, d = 1.690 Å, I 13.9
2θ 63.07, d = 1.474 Å, I 36.5